The following is a calculated powder diffraction line list of CaMo2O4. It was derived from a crystal structure in Alexandria, relaxed with GGA+U, using Cu Kα, 1.54184 Å.

Cell and atoms:
Cell: 5.5251 5.5251 10.5043 Å, 90.00 90.00 146.06°
Fractional coordinates of all 14 atoms:
Ca  0.1137  0.8863  0.7500
Ca  0.8863  0.1137  0.2500
Mo  0.3670  0.6330  0.5712
Mo  0.3670  0.6330  0.9288
Mo  0.6330  0.3670  0.0712
Mo  0.6330  0.3670  0.4288
O  0.0000  0.0000  0.0000
O  0.0000  0.0000  0.5000
O  0.2645  0.7355  0.1111
O  0.2645  0.7355  0.3889
O  0.4617  0.5383  0.7500
O  0.5383  0.4617  0.2500
O  0.7355  0.2645  0.6111
O  0.7355  0.2645  0.8889

Largest 6 diffraction maxima, by angle, 15° ≤ 2θ ≤ 90°:
d 5.252, 2θ = 16.88°, I = 33; d 2.919, 2θ = 30.63°, I = 100; d 2.379, 2θ = 37.82°, I = 26; d 2.318, 2θ = 38.84°, I = 44; d 2.167, 2θ = 41.68°, I = 40; d 1.574, 2θ = 58.65°, I = 28